# 1
Starting from a crystal structure in Alexandria, relaxed with PBE, the X-ray powder pattern of Pr4HoSn2 was simulated for Cu Ka.

Atomic structure:
a b c (Å): 9.9641 9.9641 9.9641
angles (deg): 32.21 32.21 32.21
Atoms (fractional coordinates):
Pr (0.1245, 0.1245, 0.1245)
Pr (0.2804, 0.2804, 0.2804)
Pr (0.7196, 0.7196, 0.7196)
Pr (0.8755, 0.8755, 0.8755)
Ho (0.5000, 0.5000, 0.5000)
Sn (0.3939, 0.3939, 0.3939)
Sn (0.6061, 0.6061, 0.6061)

Largest 10 diffraction maxima, sorted by position, 15 to 90 degrees two-theta:
2theta	I/Imax
18.80	19
24.35	29
28.90	15
31.43	41
32.39	100
36.88	18
43.59	21
45.76	20
57.18	18
57.78	19

---

# 2
Starting from a crystal structure in Alexandria, relaxed with PBE, the X-ray powder pattern of La6Ge2Se3Br was simulated for Cu Ka.

Atomic structure:
a b c (Å): 9.7600 9.7600 8.7703
angles (deg): 102.52 102.52 25.86
Atoms (fractional coordinates):
La (0.0042, 0.0042, 0.2687)
La (0.3274, 0.3274, 0.9045)
La (0.3311, 0.3311, 0.4214)
La (0.6689, 0.6689, 0.5786)
La (0.6726, 0.6726, 0.0955)
La (0.9958, 0.9958, 0.7313)
Ge (0.1647, 0.1647, 0.3286)
Ge (0.8353, 0.8353, 0.6714)
Se (0.1633, 0.1633, 0.8351)
Se (0.5000, 0.5000, 0.5000)
Se (0.8367, 0.8367, 0.1649)
Br (0.5000, 0.5000, 0.0000)

Largest 10 diffraction maxima, sorted by position, 15 to 90 degrees two-theta:
2theta	I/Imax
24.97	10
28.86	100
41.16	37
41.39	38
51.24	20
59.79	12
67.57	16
67.87	11
75.29	8
75.40	8

---

# 3
Starting from a crystal structure in Alexandria, relaxed with PBE, the X-ray powder pattern of CsCdIn2I8 was simulated for Cu Ka.

Atomic structure:
a b c (Å): 12.4980 12.4980 12.4980
angles (deg): 35.68 35.68 35.68
Atoms (fractional coordinates):
Cs (0.0000, 0.0000, 0.0000)
Cd (0.5000, 0.5000, 0.5000)
In (0.2533, 0.2533, 0.2533)
In (0.7467, 0.7467, 0.7467)
I (0.1149, 0.4257, 0.7749)
I (0.2251, 0.5743, 0.8851)
I (0.3322, 0.3322, 0.3322)
I (0.4257, 0.7749, 0.1149)
I (0.5743, 0.8851, 0.2251)
I (0.6678, 0.6678, 0.6678)
I (0.7749, 0.1149, 0.4257)
I (0.8851, 0.2251, 0.5743)

Largest 10 diffraction maxima, sorted by position, 15 to 90 degrees two-theta:
2theta	I/Imax
16.76	39
22.82	52
23.23	93
24.46	76
27.85	100
32.79	55
38.76	50
40.82	82
45.45	43
47.27	42

---

# 4
Starting from a crystal structure in Alexandria, relaxed with PBE, the X-ray powder pattern of CaIn2Pb6 was simulated for Cu Ka.

Atomic structure:
a b c (Å): 6.3603 6.3603 10.0285
angles (deg): 119.48 119.48 53.94
Atoms (fractional coordinates):
Ca (0.0000, 0.0000, 0.0000)
In (0.3393, 0.3393, 0.3548)
In (0.6607, 0.6607, 0.6452)
Pb (0.0113, 0.0113, 0.3467)
Pb (0.3202, 0.3202, 0.0129)
Pb (0.3399, 0.3399, 0.6900)
Pb (0.6601, 0.6601, 0.3100)
Pb (0.6798, 0.6798, 0.9871)
Pb (0.9887, 0.9887, 0.6533)

Largest 10 diffraction maxima, sorted by position, 15 to 90 degrees two-theta:
2theta	I/Imax
18.08	19
31.01	58
32.11	51
32.38	100
32.75	90
45.24	37
56.03	21
56.27	20
57.17	19
57.89	18

---

# 5
Starting from a crystal structure in Alexandria, relaxed with PBE, the X-ray powder pattern of Rb4PuCl5 was simulated for Cu Ka.

Atomic structure:
a b c (Å): 8.1021 8.1021 8.1021
angles (deg): 101.60 101.60 126.72
Atoms (fractional coordinates):
Rb (0.0927, 0.7072, 0.7999)
Rb (0.2928, 0.0927, 0.3854)
Rb (0.7072, 0.9073, 0.6146)
Rb (0.9073, 0.2928, 0.2001)
Pu (0.5081, 0.5081, 0.0000)
Cl (0.1256, 0.1256, 0.0000)
Cl (0.2367, 0.4228, 0.6383)
Cl (0.4228, 0.7845, 0.1861)
Cl (0.5984, 0.2367, 0.8139)
Cl (0.7845, 0.5984, 0.3617)

Largest 10 diffraction maxima, sorted by position, 15 to 90 degrees two-theta:
2theta	I/Imax
22.95	97
24.51	60
27.54	100
37.20	78
39.34	36
42.21	27
46.03	35
46.90	39
59.07	22
69.92	22

---

# 6
Starting from a crystal structure in Alexandria, relaxed with PBE, the X-ray powder pattern of V3MoN was simulated for Cu Ka.

Atomic structure:
a b c (Å): 5.5567 5.5567 5.5567
angles (deg): 117.94 93.55 118.01
Atoms (fractional coordinates):
V (0.2215, 0.0000, 0.7215)
V (0.2215, 0.5000, 0.2215)
V (0.2861, 0.0361, 0.2500)
V (0.7139, 0.9639, 0.7500)
V (0.7785, 0.0000, 0.2785)
V (0.7785, 0.5000, 0.7785)
Mo (0.2637, 0.5137, 0.7500)
Mo (0.7363, 0.4863, 0.2500)
N (0.0000, 0.0000, 0.0000)
N (0.5000, 0.0000, 0.5000)

Largest 10 diffraction maxima, sorted by position, 15 to 90 degrees two-theta:
2theta	I/Imax
31.24	6
32.28	13
39.38	100
44.77	43
47.80	15
65.17	12
67.56	19
78.88	21
83.32	7
84.74	9

---

# 7
Starting from a crystal structure in Alexandria, relaxed with PBE, the X-ray powder pattern of Na4Ce3TeSe8 was simulated for Cu Ka.

Atomic structure:
a b c (Å): 8.7403 8.7403 8.3850
angles (deg): 118.17 118.17 57.63
Atoms (fractional coordinates):
Na (0.0000, 0.0000, 0.0000)
Na (0.0000, 0.5000, 0.5000)
Na (0.5000, 0.0000, 0.5000)
Na (0.5000, 0.5000, 0.0000)
Ce (0.0000, 0.0000, 0.5000)
Ce (0.0000, 0.5000, 0.0000)
Ce (0.5000, 0.0000, 0.0000)
Te (0.5000, 0.5000, 0.5000)
Se (0.2168, 0.2168, 0.1980)
Se (0.2346, 0.2346, 0.7379)
Se (0.2422, 0.7248, 0.2498)
Se (0.2752, 0.7578, 0.7502)
Se (0.7248, 0.2422, 0.2498)
Se (0.7578, 0.2752, 0.7502)
Se (0.7654, 0.7654, 0.2621)
Se (0.7832, 0.7832, 0.8020)

Largest 10 diffraction maxima, sorted by position, 15 to 90 degrees two-theta:
2theta	I/Imax
23.16	14
24.61	19
27.65	55
30.07	100
39.37	11
41.15	36
41.47	36
42.94	19
43.16	17
51.82	27

---

# 8
Starting from a crystal structure in Alexandria, relaxed with PBE, the X-ray powder pattern of TbAl11 was simulated for Cu Ka.

Atomic structure:
a b c (Å): 8.5626 8.5626 8.5626
angles (deg): 100.23 100.23 130.15
Atoms (fractional coordinates):
Tb (0.3750, 0.6250, 0.7500)
Tb (0.6250, 0.3750, 0.2500)
Al (0.0000, 0.0000, 0.0000)
Al (0.0000, 0.0000, 0.5000)
Al (0.0000, 0.5000, 0.0000)
Al (0.1250, 0.8750, 0.2500)
Al (0.1342, 0.5568, 0.3348)
Al (0.1342, 0.7994, 0.5774)
Al (0.2006, 0.2780, 0.3348)
Al (0.2006, 0.8658, 0.9226)
Al (0.2780, 0.2006, 0.8348)
Al (0.2780, 0.4432, 0.0774)
Al (0.4432, 0.2780, 0.5774)
Al (0.4432, 0.8658, 0.1652)
Al (0.5000, 0.0000, 0.5000)
Al (0.5568, 0.1342, 0.8348)
Al (0.5568, 0.7220, 0.4226)
Al (0.7220, 0.5568, 0.9226)
Al (0.7220, 0.7994, 0.1652)
Al (0.7994, 0.1342, 0.0774)
Al (0.7994, 0.7220, 0.6652)
Al (0.8658, 0.2006, 0.4226)
Al (0.8658, 0.4432, 0.6652)
Al (0.8750, 0.1250, 0.7500)

Largest 10 diffraction maxima, sorted by position, 15 to 90 degrees two-theta:
2theta	I/Imax
16.14	21
21.89	38
22.91	16
27.27	49
31.89	43
35.90	100
36.60	51
38.30	24
55.01	23
65.42	24

---

Question: Number 6 is which compound?
Answer: V3MoN